This entry pairs a crystal structure of Zr3NbRu4 with its simulated powder diffraction line list. Radiation: Cu Kα (λ = 1.5418 Å). Structure: DFT lattice parameters and positions (PBE).
Neutral-atom scattering factors, no anomalous dispersion.

Atomic structure:
abc: 3.2446 4.6047 9.2006
angles: 90.00 90.00 90.00
Space group Pmmm (No. 47)
Symmetry-distinct sites (fractional):
Zr: 0.0000 0.0000 0.0000 [1 per cell]
Zr: 0.0000 0.5000 0.2535 [2 per cell]
Nb: 0.0000 0.0000 0.5000 [1 per cell]
Ru: 0.5000 0.0000 0.2568 [2 per cell]
Ru: 0.5000 0.5000 0.0000 [1 per cell]
Ru: 0.5000 0.5000 0.5000 [1 per cell]

The 7 most intense peaks (2θ from 10° to 90°), by intensity:
39.2 deg, intensity 100; 71.0 deg, intensity 22; 56.6 deg, intensity 11; 71.1 deg, intensity 11; 84.3 deg, intensity 7; 56.7 deg, intensity 6; 84.1 deg, intensity 3

***

This entry pairs a crystal structure of NbS2 with its simulated powder diffraction line list. Radiation: Cu Kα (λ = 1.5418 Å). Structure: DFT lattice parameters and positions (PBE).
Neutral-atom scattering factors, no anomalous dispersion.

Atomic structure:
abc: 3.3745 3.3748 19.8894
angles: 94.51 90.06 119.99
Space group P1 (No. 1)
Symmetry-distinct sites (fractional):
Nb: 0.0000 0.0000 0.0000 [1 per cell]
Nb: 0.0477 0.1890 0.3256 [1 per cell]
Nb: 0.4102 0.1701 0.6654 [1 per cell]
S: 0.0519 0.4545 0.5869 [1 per cell]
S: 0.3085 0.6174 0.9212 [1 per cell]
S: 0.3582 0.7156 0.0787 [1 per cell]
S: 0.4057 0.9045 0.4041 [1 per cell]
S: 0.6897 0.4738 0.2474 [1 per cell]
S: 0.7686 0.8853 0.7436 [1 per cell]

The 10 most intense peaks (2θ from 10° to 90°), by intensity:
13.4 deg, intensity 100; 35.0 deg, intensity 23; 34.8 deg, intensity 15; 31.5 deg, intensity 12; 54.4 deg, intensity 11; 43.5 deg, intensity 11; 30.7 deg, intensity 9; 39.2 deg, intensity 8; 43.3 deg, intensity 7; 54.6 deg, intensity 7

***

This entry pairs a crystal structure of Nb4SbS8 with its simulated powder diffraction line list. Radiation: Cu Kα (λ = 1.5418 Å). Structure: DFT lattice parameters and positions (PBE).
Neutral-atom scattering factors, no anomalous dispersion.

Atomic structure:
abc: 10.3292 10.3292 10.3292
angles: 90.00 90.00 90.00
Space group F-43m (No. 216)
Symmetry-distinct sites (fractional):
Nb: 0.1042 0.1042 0.1042 [16 per cell]
Sb: 0.0000 0.0000 0.5000 [4 per cell]
S: 0.1291 0.1291 0.8709 [16 per cell]
S: 0.1439 0.1439 0.3561 [16 per cell]

The 10 most intense peaks (2θ from 10° to 90°), by intensity:
28.7 deg, intensity 100; 45.6 deg, intensity 81; 49.9 deg, intensity 69; 34.7 deg, intensity 52; 14.9 deg, intensity 48; 17.2 deg, intensity 46; 42.9 deg, intensity 37; 38.0 deg, intensity 30; 24.4 deg, intensity 30; 78.6 deg, intensity 24

***

This entry pairs a crystal structure of Nb5SbS8 with its simulated powder diffraction line list. Radiation: Cu Kα (λ = 1.5418 Å). Structure: DFT lattice parameters and positions (PBE).
Neutral-atom scattering factors, no anomalous dispersion.

Atomic structure:
abc: 10.6278 10.6278 10.6278
angles: 90.00 90.00 90.00
Space group F-43m (No. 216)
Symmetry-distinct sites (fractional):
Nb: 0.0000 0.0000 0.0000 [4 per cell]
Nb: 0.1080 0.1080 0.6080 [16 per cell]
Sb: 0.2500 0.2500 0.2500 [4 per cell]
S: 0.1156 0.1156 0.3844 [16 per cell]
S: 0.1338 0.1338 0.8662 [16 per cell]

The 10 most intense peaks (2θ from 10° to 90°), by intensity:
27.8 deg, intensity 100; 48.5 deg, intensity 63; 44.3 deg, intensity 57; 23.7 deg, intensity 42; 33.7 deg, intensity 23; 67.7 deg, intensity 22; 41.6 deg, intensity 20; 14.4 deg, intensity 17; 65.8 deg, intensity 15; 76.0 deg, intensity 11

***

This entry pairs a crystal structure of Nb2Sb2S7 with its simulated powder diffraction line list. Radiation: Cu Kα (λ = 1.5418 Å). Structure: DFT lattice parameters and positions (PBE).
Neutral-atom scattering factors, no anomalous dispersion.

Atomic structure:
abc: 3.5007 13.3681 12.5880
angles: 90.00 90.00 90.00
Space group Imm2 (No. 44)
Symmetry-distinct sites (fractional):
Nb: 0.0000 0.0000 0.0000 [2 per cell]
Nb: 0.0000 0.5000 0.2629 [2 per cell]
Sb: 0.0000 0.1989 0.5412 [4 per cell]
S: 0.0000 0.0000 0.6090 [2 per cell]
S: 0.0000 0.1149 0.8505 [4 per cell]
S: 0.0000 0.3071 0.1838 [4 per cell]
S: 0.0000 0.3912 0.5830 [4 per cell]

The 10 most intense peaks (2θ from 10° to 90°), by intensity:
14.1 deg, intensity 100; 45.0 deg, intensity 90; 33.3 deg, intensity 67; 21.2 deg, intensity 66; 36.0 deg, intensity 56; 30.0 deg, intensity 54; 29.7 deg, intensity 52; 34.3 deg, intensity 41; 19.4 deg, intensity 37; 29.2 deg, intensity 36

***

This entry pairs a crystal structure of NbSbS3 with its simulated powder diffraction line list. Radiation: Cu Kα (λ = 1.5418 Å). Structure: DFT lattice parameters and positions (PBE).
Neutral-atom scattering factors, no anomalous dispersion.

Atomic structure:
abc: 14.1949 10.8107 6.0642
angles: 90.00 93.72 90.00
Space group C2/c (No. 15)
Symmetry-distinct sites (fractional):
Nb: 0.0000 0.0575 0.2500 [4 per cell]
Nb: 0.0000 0.2091 0.7500 [4 per cell]
Sb: 0.1871 0.4116 0.2990 [8 per cell]
S: 0.0945 0.4046 0.9364 [8 per cell]
S: 0.1101 0.2217 0.4509 [8 per cell]
S: 0.1161 0.0796 0.9509 [8 per cell]

The 10 most intense peaks (2θ from 10° to 90°), by intensity:
20.5 deg, intensity 100; 35.2 deg, intensity 45; 39.0 deg, intensity 41; 42.5 deg, intensity 36; 22.0 deg, intensity 34; 52.0 deg, intensity 34; 24.6 deg, intensity 31; 44.0 deg, intensity 30; 29.7 deg, intensity 29; 25.9 deg, intensity 28

***

This entry pairs a crystal structure of Nb4SbS8 with its simulated powder diffraction line list. Radiation: Cu Kα (λ = 1.5418 Å). Structure: DFT lattice parameters and positions (PBE).
Neutral-atom scattering factors, no anomalous dispersion.

Atomic structure:
abc: 6.7240 6.7240 21.7250
angles: 90.00 90.00 120.00
Space group R-3m (No. 166, hexagonal axes)
Symmetry-distinct sites (fractional):
Nb: 0.0000 0.0000 0.0000 [3 per cell]
Nb: 0.0000 0.5000 0.0000 [9 per cell]
Sb: 0.0000 0.0000 0.5000 [3 per cell]
S: 0.0000 0.0000 0.2614 [6 per cell]
S: 0.0045 0.5022 0.2597 [18 per cell]

The 10 most intense peaks (2θ from 10° to 90°), by intensity:
35.0 deg, intensity 100; 12.2 deg, intensity 77; 45.7 deg, intensity 42; 54.6 deg, intensity 27; 77.5 deg, intensity 22; 15.8 deg, intensity 20; 17.3 deg, intensity 15; 31.0 deg, intensity 15; 66.5 deg, intensity 14; 42.6 deg, intensity 14

***

This entry pairs a crystal structure of Nb2SeS2 with its simulated powder diffraction line list. Radiation: Cu Kα (λ = 1.5418 Å). Structure: DFT lattice parameters and positions (PBE).
Neutral-atom scattering factors, no anomalous dispersion.

Atomic structure:
abc: 6.5846 6.5846 9.7784
angles: 90.00 90.00 90.00
Space group I4_1md (No. 109)
Symmetry-distinct sites (fractional):
Nb: 0.0000 0.2421 0.0000 [8 per cell]
Se: 0.0000 0.0000 0.5588 [4 per cell]
S: 0.0000 0.2287 0.2545 [8 per cell]

The 10 most intense peaks (2θ from 10° to 90°), by intensity:
31.7 deg, intensity 100; 16.2 deg, intensity 58; 41.3 deg, intensity 55; 32.8 deg, intensity 34; 54.4 deg, intensity 32; 36.8 deg, intensity 31; 50.9 deg, intensity 25; 55.9 deg, intensity 25; 26.4 deg, intensity 24; 68.7 deg, intensity 22